No. 1
VIr6Ru2: theoretical XRD peak list (Cu Ka), based on the PBE geometry in Alexandria.

Structural model:
```
VIr6Ru2
1.0
5.7703 -1.9269 0.0000
5.7703 1.9269 0.0000
-1.9241 0.0000 5.7626
V Ir Ru
1 6 2
Direct
0.0000 0.0000 0.0000
0.1084 0.1084 0.6678
0.2191 0.2191 0.3307
0.3383 0.3383 0.0019
0.6617 0.6617 0.9981
0.7809 0.7809 0.6693
0.8916 0.8916 0.3322
0.4440 0.4440 0.6675
0.5560 0.5560 0.3325
```

Top 12 peaks for 2θ = 10–90°, low angle first:
- 16.19°, intensity 6
- 30.42°, intensity 5
- 31.44°, intensity 3
- 40.61°, intensity 100
- 47.21°, intensity 32
- 47.32°, intensity 16
- 69.01°, intensity 21
- 69.11°, intensity 10
- 83.18°, intensity 13
- 83.34°, intensity 19
- 83.41°, intensity 6
- 87.91°, intensity 11

---

No. 2
Y2RhPb2: theoretical XRD peak list (Cu Ka), based on the PBE geometry in Alexandria.

Structural model:
```
Y2RhPb2
1.0
4.5230 0.0000 0.0000
2.2602 5.5777 0.0000
2.2587 0.6717 10.1222
Y Rh Pb
4 2 4
Direct
0.0037 0.1644 0.3274
0.1829 0.2654 0.8684
0.8171 0.7346 0.1316
0.9963 0.8356 0.6726
0.2831 0.6160 0.3194
0.7169 0.3840 0.6806
0.3434 0.2635 0.5477
0.4593 0.6963 0.8864
0.5407 0.3037 0.1136
0.6566 0.7365 0.4523
```

Top 12 peaks for 2θ = 10–90°, low angle first:
- 21.55°, intensity 44
- 30.31°, intensity 39
- 31.10°, intensity 100
- 31.27°, intensity 32
- 32.17°, intensity 47
- 34.60°, intensity 28
- 37.48°, intensity 94
- 37.92°, intensity 26
- 39.41°, intensity 27
- 39.86°, intensity 56
- 45.31°, intensity 32
- 52.11°, intensity 25